# 1
The following is a computed XRD peak list of TlCoIr. It was derived from the GGA-PBE geometry in Alexandria, using λ = 1.5418 Å (Cu Kα).
Kinematic intensities with the Lorentz-polarization factor, no thermal factor.

Largest 10 diffraction maxima, low angle first, 10 to 90 degrees two-theta:
| 2θ/deg | intensity | index |
| --- | --- | --- |
| 26.63 | 35.9 | 0 1 1 |
| 32.29 | 22.2 | 1 0 1 |
| 37.68 | 100.0 | 0 1 3 |
| 40.11 | 94.4 | 1 1 0 |
| 42.02 | 73.9 | 1 0 3 |
| 51.18 | 23.4 | 0 2 0 |
| 55.95 | 25.5 | 1 1 4 |
| 68.30 | 35.2 | 1 2 3 |
| 72.31 | 21.0 | 1 1 6 |
| 77.05 | 25.1 | 2 1 3 |

Cell and atoms:
abc: 2.8947 3.5694 9.6350
angles: 90.00 90.00 90.00
Space group Imm2 (No. 44)
Inequivalent atoms, fractional coordinates:
Tl (0.0000, 0.0000, 0.0000)
Co (0.0000, 0.0000, 0.6889)
Ir (0.0000, 0.0000, 0.3055)

# 2
The following is a computed XRD peak list of Tl2Co2Ir. It was derived from the GGA-PBE geometry in Alexandria, using λ = 1.5418 Å (Cu Kα).
Kinematic intensities with the Lorentz-polarization factor, no thermal factor.

Largest 10 diffraction maxima, low angle first, 10 to 90 degrees two-theta:
| 2θ/deg | intensity | index |
| --- | --- | --- |
| 29.02 | 29.7 | 1 1 1 |
| 31.16 | 22.4 | 2 1 0 |
| 35.24 | 91.2 | 2 0 1 |
| 38.01 | 100.0 | 2 1 1 |
| 39.72 | 20.9 | 2 2 0 |
| 43.24 | 33.2 | 0 0 2 |
| 44.64 | 41.0 | 3 1 0 |
| 63.79 | 21.6 | 4 1 1 |
| 63.89 | 28.2 | 3 1 2 |
| 65.62 | 19.6 | 3 3 1 |

Cell and atoms:
abc: 6.4189 6.4189 4.1849
angles: 90.00 90.00 90.00
Space group P4/mbm (No. 127)
Inequivalent atoms, fractional coordinates:
Tl (0.1806, 0.3194, 0.0000)
Co (0.1254, 0.6254, 0.5000)
Ir (0.0000, 0.0000, 0.5000)

# 3
The following is a computed XRD peak list of Tm8CoIr2. It was derived from the GGA-PBE geometry in Alexandria, using λ = 1.5418 Å (Cu Kα).
Kinematic intensities with the Lorentz-polarization factor, no thermal factor.

Largest 10 diffraction maxima, low angle first, 10 to 90 degrees two-theta:
| 2θ/deg | intensity | index |
| --- | --- | --- |
| 16.19 | 31.5 | 0 0 1 |
| 26.98 | 30.5 | 2 2 0 |
| 31.61 | 75.0 | 1 3 1 |
| 31.73 | 33.2 | 1 1 -2 |
| 32.14 | 28.6 | 2 0 1 |
| 33.54 | 100.0 | 3 1 -1 |
| 35.93 | 33.9 | 0 2 2 |
| 36.36 | 29.1 | 2 2 -2 |
| 40.40 | 49.2 | 1 5 -1 |
| 55.83 | 33.7 | 3 3 -3 |

Cell and atoms:
abc: 8.3100 12.2588 5.7967
angles: 90.00 109.19 90.00
Space group Cm (No. 8)
Inequivalent atoms, fractional coordinates:
Tm (0.0000, 0.0000, 0.0000)
Tm (0.0679, 0.3709, 0.7782)
Tm (0.1567, 0.1289, 0.5782)
Tm (0.2128, 0.5000, 0.3711)
Tm (0.3558, 0.2098, 0.1883)
Co (0.3525, 0.0000, 0.3521)
Ir (0.3638, 0.3129, 0.6833)

# 4
The following is a computed XRD peak list of V4Co2Ir3. It was derived from the GGA-PBE geometry in Alexandria, using λ = 1.5418 Å (Cu Kα).
Kinematic intensities with the Lorentz-polarization factor, no thermal factor.

Largest 10 diffraction maxima, low angle first, 10 to 90 degrees two-theta:
| 2θ/deg | intensity | index |
| --- | --- | --- |
| 23.63 | 24.6 | 0 0 2 |
| 27.50 | 45.2 | 1 1 -1 |
| 28.09 | 18.7 | 2 0 1 |
| 41.51 | 100.0 | 3 1 0 |
| 42.06 | 95.5 | 1 1 -3 |
| 48.05 | 32.2 | 2 0 3 |
| 48.72 | 31.4 | 0 2 0 |
| 49.12 | 29.8 | 4 0 -3 |
| 70.84 | 19.6 | 2 2 3 |
| 71.69 | 19.3 | 4 2 -3 |

Cell and atoms:
abc: 8.3948 3.7381 7.8769
angles: 90.00 107.04 90.00
Space group C2/m (No. 12)
Inequivalent atoms, fractional coordinates:
V (0.0114, 0.0000, 0.3315)
V (0.1678, 0.5000, 0.8936)
Co (0.1622, 0.5000, 0.2241)
Ir (0.0000, 0.0000, 0.0000)
Ir (0.1671, 0.5000, 0.5643)

# 5
The following is a computed XRD peak list of V2Co3Ir3. It was derived from the GGA-PBE geometry in Alexandria, using λ = 1.5418 Å (Cu Kα).
Kinematic intensities with the Lorentz-polarization factor, no thermal factor.

Largest 10 diffraction maxima, low angle first, 10 to 90 degrees two-theta:
| 2θ/deg | intensity | index |
| --- | --- | --- |
| 24.52 | 23.1 | 0 0 2 |
| 34.01 | 20.5 | 1 1 0 |
| 42.38 | 100.0 | 1 1 2 |
| 48.87 | 32.9 | 2 0 0 |
| 50.27 | 15.0 | 0 0 4 |
| 55.42 | 11.0 | 2 0 2 |
| 71.60 | 10.2 | 2 2 0 |
| 72.72 | 19.5 | 2 0 4 |
| 86.89 | 24.9 | 3 1 2 |
| 89.02 | 11.8 | 1 1 6 |

Cell and atoms:
abc: 3.7257 3.7293 7.2605
angles: 90.00 90.00 90.00
Space group Pmmm (No. 47)
Inequivalent atoms, fractional coordinates:
V (0.0000, 0.0000, 0.2428)
Co (0.0000, 0.5000, 0.0000)
Co (0.5000, 0.5000, 0.2460)
Ir (0.0000, 0.5000, 0.5000)
Ir (0.5000, 0.0000, 0.0000)
Ir (0.5000, 0.0000, 0.5000)

# 6
The following is a computed XRD peak list of V6Co5Ir. It was derived from the GGA-PBE geometry in Alexandria, using λ = 1.5418 Å (Cu Kα).
Kinematic intensities with the Lorentz-polarization factor, no thermal factor.

Largest 10 diffraction maxima, low angle first, 10 to 90 degrees two-theta:
| 2θ/deg | intensity | index |
| --- | --- | --- |
| 14.26 | 6.1 | 0 0 2 |
| 16.76 | 7.8 | 0 1 1 |
| 26.37 | 6.5 | 1 1 0 |
| 30.10 | 5.3 | 1 1 2 |
| 30.54 | 8.4 | 0 2 0 |
| 43.74 | 100.0 | 2 0 0 |
| 63.54 | 10.1 | 2 0 6 |
| 63.66 | 5.0 | 0 4 0 |
| 80.35 | 24.6 | 3 2 3 |
| 80.43 | 4.9 | 0 4 6 |

Cell and atoms:
abc: 4.1426 5.8469 12.4206
angles: 90.00 90.00 90.00
Space group Immm (No. 71)
Inequivalent atoms, fractional coordinates:
V (0.0000, 0.2367, 0.0000)
V (0.0000, 0.2564, 0.3285)
Co (0.0000, 0.0000, 0.1667)
Co (0.0000, 0.5000, 0.1625)
Co (0.0000, 0.5000, 0.5000)
Ir (0.0000, 0.0000, 0.5000)

# 7
The following is a computed XRD peak list of V4Co2Ir5. It was derived from the GGA-PBE geometry in Alexandria, using λ = 1.5418 Å (Cu Kα).
Kinematic intensities with the Lorentz-polarization factor, no thermal factor.

Largest 10 diffraction maxima, low angle first, 10 to 90 degrees two-theta:
| 2θ/deg | intensity | index |
| --- | --- | --- |
| 16.69 | 64.9 | 2 0 -1 |
| 28.88 | 86.2 | 0 0 2 |
| 36.13 | 96.7 | 3 1 0 |
| 41.43 | 100.0 | 8 0 -1 |
| 43.35 | 59.7 | 5 1 -1 |
| 43.70 | 66.8 | 6 0 2 |
| 44.25 | 70.0 | 2 0 -3 |
| 44.82 | 78.2 | 5 1 1 |
| 46.05 | 86.5 | 3 1 -2 |
| 47.73 | 50.7 | 3 1 2 |

Cell and atoms:
abc: 18.1149 2.7302 6.2049
angles: 90.00 94.80 90.00
Space group C2/m (No. 12)
Inequivalent atoms, fractional coordinates:
V (0.0438, 0.0000, 0.3515)
V (0.0957, 0.5000, 0.6960)
Co (0.2284, 0.5000, 0.8382)
Ir (0.0000, 0.5000, 0.0000)
Ir (0.1316, 0.0000, 0.0410)
Ir (0.1836, 0.0000, 0.4828)

# 8
The following is a computed XRD peak list of Zn8CoIr2. It was derived from the GGA-PBE geometry in Alexandria, using λ = 1.5418 Å (Cu Kα).
Kinematic intensities with the Lorentz-polarization factor, no thermal factor.

Largest 10 diffraction maxima, low angle first, 10 to 90 degrees two-theta:
| 2θ/deg | intensity | index |
| --- | --- | --- |
| 14.39 | 16.4 | 1 0 0 |
| 21.52 | 27.0 | 0 1 0 |
| 22.83 | 31.2 | 1 0 1 |
| 25.95 | 21.9 | 0 1 1 |
| 41.70 | 100.0 | 2 1 -2 |
| 41.98 | 45.2 | 1 1 2 |
| 42.13 | 43.5 | 2 1 1 |
| 43.70 | 18.6 | 0 0 3 |
| 43.86 | 44.1 | 0 2 0 |
| 44.13 | 18.7 | 3 0 0 |

Cell and atoms:
abc: 6.3782 4.1286 6.4370
angles: 90.00 105.13 90.00
Space group P2/m (No. 10)
Inequivalent atoms, fractional coordinates:
Zn (0.0325, 0.0000, 0.2961)
Zn (0.2402, 0.5000, 0.7654)
Zn (0.2941, 0.0000, 0.0328)
Zn (0.3227, 0.5000, 0.3228)
Co (0.0000, 0.5000, 0.0000)
Ir (0.3753, 0.0000, 0.6250)

# 9
The following is a computed XRD peak list of Zr4Co2Ir. It was derived from the GGA-PBE geometry in Alexandria, using λ = 1.5418 Å (Cu Kα).
Kinematic intensities with the Lorentz-polarization factor, no thermal factor.

Largest 10 diffraction maxima, low angle first, 10 to 90 degrees two-theta:
| 2θ/deg | intensity | index |
| --- | --- | --- |
| 14.14 | 56.3 | 1 1 0 |
| 18.05 | 41.5 | 2 0 0 |
| 21.88 | 29.1 | 0 2 0 |
| 35.54 | 84.8 | 2 2 -2 |
| 36.21 | 100.0 | 0 2 2 |
| 36.57 | 61.9 | 4 0 0 |
| 43.02 | 36.3 | 4 2 0 |
| 43.77 | 67.5 | 4 2 -2 |
| 44.61 | 52.5 | 0 4 0 |
| 45.45 | 46.8 | 2 2 2 |

Cell and atoms:
abc: 10.5483 8.1249 6.7237
angles: 90.00 111.29 90.00
Space group Cm (No. 8)
Inequivalent atoms, fractional coordinates:
Zr (0.0000, 0.0000, 0.0000)
Zr (0.0018, 0.5000, 0.5260)
Zr (0.0053, 0.5000, 0.0147)
Zr (0.0115, 0.0000, 0.5381)
Zr (0.2255, 0.2518, 0.8731)
Zr (0.2362, 0.2231, 0.3753)
Co (0.2770, 0.0000, 0.6705)
Co (0.2943, 0.0000, 0.1434)
Co (0.4559, 0.2461, 0.7440)
Ir (0.2672, 0.5000, 0.6125)
Ir (0.2942, 0.5000, 0.1745)

# 10
The following is a computed XRD peak list of Zr2Co3Ir. It was derived from the GGA-PBE geometry in Alexandria, using λ = 1.5418 Å (Cu Kα).
Kinematic intensities with the Lorentz-polarization factor, no thermal factor.

Largest 10 diffraction maxima, low angle first, 10 to 90 degrees two-theta:
| 2θ/deg | intensity | index |
| --- | --- | --- |
| 22.00 | 26.3 | 1 0 1 |
| 25.28 | 24.4 | 0 1 2 |
| 36.44 | 53.9 | 1 1 0 |
| 41.96 | 57.2 | 0 1 5 |
| 42.63 | 100.0 | 1 1 3 |
| 44.86 | 44.2 | 2 0 2 |
| 69.35 | 25.1 | 1 2 5 |
| 69.83 | 22.5 | 3 0 3 |
| 75.53 | 19.3 | 2 0 8 |
| 77.40 | 18.1 | 2 2 0 |

Cell and atoms:
abc: 4.9318 4.9318 12.4668
angles: 90.00 90.00 120.00
Space group R-3m (No. 166, hexagonal axes)
Inequivalent atoms, fractional coordinates:
Zr (0.0000, 0.0000, 0.1224)
Co (0.0000, 0.5000, 0.0000)
Ir (0.0000, 0.0000, 0.5000)

# 11
The following is a computed XRD peak list of KLaCo4. It was derived from the GGA-PBE geometry in Alexandria, using λ = 1.5418 Å (Cu Kα).
Kinematic intensities with the Lorentz-polarization factor, no thermal factor.

Largest 10 diffraction maxima, low angle first, 10 to 90 degrees two-theta:
| 2θ/deg | intensity | index |
| --- | --- | --- |
| 20.89 | 13.9 | 1 1 1 |
| 24.16 | 11.9 | 2 0 0 |
| 34.44 | 37.4 | 2 2 0 |
| 40.62 | 100.0 | 3 1 1 |
| 42.51 | 30.9 | 2 2 2 |
| 61.69 | 13.1 | 4 2 2 |
| 65.89 | 29.5 | 3 3 3 |
| 72.60 | 21.8 | 4 4 0 |
| 86.67 | 10.3 | 5 3 3 |
| 87.93 | 10.1 | 6 2 2 |

Cell and atoms:
abc: 7.3662 7.3662 7.3662
angles: 90.00 90.00 90.00
Space group F-43m (No. 216)
Inequivalent atoms, fractional coordinates:
K (0.0000, 0.0000, 0.0000)
La (0.2500, 0.2500, 0.7500)
Co (0.1234, 0.1234, 0.3766)